NdGdGa4Co2: calculated powder diffractogram (Cu Kα (weighted mean of Kα1 and Kα2)), based on a DFT-relaxed cell (GGA-PBE, OQMD).
Neutral-atom scattering factors, no anomalous dispersion.

Atomic structure:
```
data_NdGdGa4Co2
_cell_length_a 4.075
_cell_length_b 4.132
_cell_length_c 17.731
_cell_angle_alpha 90.00
_cell_angle_beta 90.00
_cell_angle_gamma 90.00
_symmetry_space_group_name_H-M 'A m m 2'
_symmetry_Int_Tables_number 38
loop_
_symmetry_equiv_pos_as_xyz
'x,y,z'
'-x,-y,z'
'-x,y,z'
'x,-y,z'
'x,y+1/2,z+1/2'
'-x,-y+1/2,z+1/2'
'-x,y+1/2,z+1/2'
'x,-y+1/2,z+1/2'
loop_
_atom_site_label
_atom_site_fract_x
_atom_site_fract_y
_atom_site_fract_z
Nd1 0.000 0.000 0.000
Gd1 0.000 0.000 0.715
Ga1 0.000 0.000 0.356
Ga2 0.500 0.000 0.150
Ga3 0.500 0.000 0.566
Ga4 0.500 0.000 0.856
Co1 0.500 0.000 0.284
Co2 0.500 0.000 0.430
```

Most intense lines, 10° ≤ 2θ ≤ 90°, sorted by position:
2θ/deg, Rel. int., hkl
29.78, 286, 1 0 4
34.43, 1000, 1 1 3
41.83, 375, 0 1 7
43.82, 265, 0 2 0
44.46, 254, 2 0 0
62.69, 220, 2 1 7